# 1
# ZnNiAg2
Calculated X-ray diffraction stick pattern, Cu Kα (λ = 1.5418 Å). Input: a cell relaxed with GGA-PBE.

Atomic structure:
a = 4.757 Å, b = 2.850 Å, c = 4.763 Å
α = 90.00°, β = 108.83°, γ = 90.00°
Element x y z (fractional)
Zn1 0.000 0.000 0.000
Ni1 0.000 0.500 0.500
Ag1 0.500 0.000 0.500
Ag2 0.500 0.500 0.000

Peak list (6 most intense, 2θ from 10° to 90°, by angle)
2θ (°)	I (rel.)
39.26	100
40.03	95
45.68	64
46.94	29
67.58	37
79.61	23

# 2
# SrMg4In2Ag
Calculated X-ray diffraction stick pattern, Cu Kα (λ = 1.5418 Å). Input: a cell relaxed with GGA-PBE.

Atomic structure:
a = 9.795 Å, b = 9.795 Å, c = 9.795 Å
α = 29.34°, β = 29.34°, γ = 29.34°
Element x y z (fractional)
Sr1 0.000 0.000 0.000
Mg1 0.135 0.135 0.135
Mg2 0.403 0.403 0.403
Mg3 0.597 0.597 0.597
Mg4 0.865 0.865 0.865
In1 0.255 0.255 0.255
In2 0.745 0.745 0.745
Ag1 0.500 0.500 0.500

Peak list (6 most intense, 2θ from 10° to 90°, by angle)
2θ (°)	I (rel.)
24.28	100
32.94	90
36.21	87
49.75	27
53.84	31
63.07	26

# 3
# RhClF3
Calculated X-ray diffraction stick pattern, Cu Kα (λ = 1.5418 Å). Input: a cell relaxed with GGA-PBE.

Atomic structure:
a = 5.586 Å, b = 6.028 Å, c = 4.938 Å
α = 90.00°, β = 90.00°, γ = 90.00°
Element x y z (fractional)
Rh1 0.000 0.011 0.000
Rh2 0.500 0.989 0.500
Cl1 0.000 0.339 0.790
Cl2 0.500 0.661 0.290
F1 0.000 0.734 0.196
F2 0.248 0.872 0.755
F3 0.252 0.128 0.255
F4 0.500 0.266 0.696
F5 0.748 0.128 0.255
F6 0.752 0.872 0.755

Peak list (6 most intense, 2θ from 10° to 90°, by angle)
2θ (°)	I (rel.)
14.70	100
24.05	76
28.30	68
32.05	18
38.53	26
51.72	42

Q: What is the formula in the first record?
A: ZnNiAg2

Q: Which formula does entry 3 have?
A: RhClF3